# PrP3Rh6
Computed X-ray powder pattern, copper Kα. Input: a cell relaxed with PBE.
Neutral-atom scattering factors, no anomalous dispersion.

Cell and atoms:
```
data_PrP3Rh6
_chemical_formula_sum 'Pr1 P3 Rh6'
_cell_length_a 5.6890
_cell_length_b 5.7738
_cell_length_c 5.8154
_cell_angle_alpha 74.08
_cell_angle_beta 60.86
_cell_angle_gamma 89.01
_space_group_name_H-M_alt 'P 1'
_space_group_IT_number 1
_space_group_name_Hall 'P 1'
loop_
_atom_site_label
_atom_site_fract_x
_atom_site_fract_y
_atom_site_fract_z
Pr1 0.0000 0.0000 0.0000
P1 0.2934 0.8488 0.3945
P2 0.6369 0.8532 0.7308
P3 0.9015 0.4756 0.1964
Rh1 0.0136 0.1465 0.4640
Rh2 0.3360 0.5890 0.1496
Rh3 0.5091 0.1416 0.9623
Rh4 0.5232 0.5868 0.5574
Rh5 0.5304 0.1452 0.4439
Rh6 0.9228 0.5630 0.7615
```

Main lines, in order of falling intensity (10° ≤ 2θ ≤ 80°):
| 2θ (°) | d [Å] | I_rel | (hkl) |
| --- | --- | --- | --- |
| 32.57 | 2.750 | 100.0 | 0 2 0 |
| 35.71 | 2.514 | 79.1 | 0 1 2 |
| 45.29 | 2.002 | 74.0 | 2 2 2 |
| 36.52 | 2.461 | 69.9 | 2 0 0 |
| 36.79 | 2.443 | 61.9 | 2 0 2 |
| 31.74 | 2.819 | 60.9 | 1 0 -1 |
| 39.51 | 2.281 | 58.0 | -1 2 1 |
| 35.82 | 2.507 | 39.4 | 2 -1 1 |
| 45.97 | 1.974 | 36.9 | 2 -2 0 |
| 39.97 | 2.256 | 35.7 | 1 -1 2 |